The following is a simulated XRD peak list of DyCu7. It was derived from a DFT-relaxed cell (PBE, the Materials Project), using CuKα.
Lines closer than 0.1° are merged.

Cell and atoms:
Unit cell a=4.112 b=4.941 c=17.062 alpha=90.00 beta=90.00 gamma=90.00
Space group Pmmm (No. 47)
Inequivalent atoms, fractional coordinates:
Dy 0.000 0.000 0.000
Dy 0.000 0.500 0.257
Cu 0.000 0.000 0.169
Cu 0.000 0.000 0.348
Cu 0.000 0.000 0.500
Cu 0.000 0.500 0.085
Cu 0.000 0.500 0.426
Cu 0.500 0.000 0.254
Cu 0.500 0.250 0.127
Cu 0.500 0.250 0.379
Cu 0.500 0.500 0.000
Cu 0.500 0.500 0.500

Principal peaks in the range 15 to 90 degrees two-theta, in order of falling intensity:
| 2theta | d/Å | I (rel.) | hkl |
| --- | --- | --- | --- |
| 42.75 | 2.115 | 100 | 1 2 0 |
| 30.17 | 2.963 | 43 | 1 1 2 |
| 44.05 | 2.056 | 31 | 2 0 0 |
| 36.42 | 2.467 | 28 | 0 2 0 |
| 42.27 | 2.138 | 22 | 0 2 4 |
| 80.10 | 1.198 | 14 | 3 2 0 |
| 69.84 | 1.347 | 14 | 1 3 6 |
| 62.69 | 1.482 | 14 | 2 2 4 |
| 42.38 | 2.133 | 12 | 0 0 8 |
| 77.45 | 1.232 | 9 | 0 2 12 |

=====

The following is a simulated XRD peak list of LiBeH3. It was derived from a DFT-relaxed cell (PBE, the Materials Project), using CuKα.
Lines closer than 0.1° are merged.

Cell and atoms:
Unit cell a=6.054 b=6.166 c=13.212 alpha=90.00 beta=97.67 gamma=90.00
Space group P2_1/c (No. 14)
Inequivalent atoms, fractional coordinates:
Li 0.010 0.119 0.252
Li 0.239 0.618 0.593
Li 0.253 0.128 0.601
Be 0.224 0.166 0.908
Be 0.228 0.593 0.912
Be 0.434 0.618 0.314
H 0.026 0.120 0.841
H 0.027 0.644 0.848
H 0.197 0.131 0.010
H 0.225 0.623 0.018
H 0.292 0.120 0.384
H 0.293 0.617 0.219
H 0.332 0.119 0.194
H 0.422 0.696 0.880
H 0.424 0.064 0.882

Principal peaks in the range 15 to 90 degrees two-theta, in order of falling intensity:
| 2theta | d/Å | I (rel.) | hkl |
| --- | --- | --- | --- |
| 35.65 | 2.518 | 100 | 0 2 3 |
| 34.51 | 2.599 | 24 | 2 0 2 |
| 43.29 | 2.090 | 24 | 2 2 1 |
| 27.24 | 3.274 | 23 | 0 0 4 |
| 31.09 | 2.877 | 23 | 2 0 -2 |
| 29.78 | 3.000 | 20 | 2 0 0 |
| 27.70 | 3.221 | 17 | 1 1 -3 |
| 23.64 | 3.763 | 14 | 1 1 -2 |
| 60.02 | 1.541 | 13 | 0 4 0 |
| 18.68 | 4.750 | 12 | 1 0 -2 |

=====

The following is a simulated XRD peak list of TeI6N2. It was derived from a DFT-relaxed cell (PBE, the Materials Project), using CuKα.
Lines closer than 0.1° are merged.

Cell and atoms:
Unit cell a=7.857 b=7.799 c=13.738 alpha=90.00 beta=124.17 gamma=90.00
Space group P2_1/c (No. 14)
Inequivalent atoms, fractional coordinates:
Te 0.000 0.000 0.000
I 0.213 0.002 0.256
I 0.235 0.195 0.517
I 0.327 0.719 0.524
N 0.258 0.538 0.251

Principal peaks in the range 15 to 90 degrees two-theta, in order of falling intensity:
| 2theta | d/Å | I (rel.) | hkl |
| --- | --- | --- | --- |
| 27.75 | 3.215 | 100 | 0 2 2 |
| 32.35 | 2.767 | 75 | 2 2 -2 |
| 16.01 | 5.535 | 74 | 1 1 -1 |
| 31.48 | 2.842 | 54 | 0 0 4 |
| 15.59 | 5.684 | 46 | 0 0 2 |
| 27.44 | 3.250 | 30 | 2 0 0 |
| 45.98 | 1.974 | 26 | 2 2 -6 |
| 45.55 | 1.991 | 22 | 2 2 2 |
| 26.51 | 3.363 | 21 | 2 1 -1 |
| 36.20 | 2.481 | 21 | 3 1 -3 |

=====

The following is a simulated XRD peak list of Pm2S3. It was derived from a DFT-relaxed cell (PBE, the Materials Project), using CuKα.
Lines closer than 0.1° are merged.

Cell and atoms:
Unit cell a=7.1388 b=7.1388 c=18.8778 alpha=90.00 beta=90.00 gamma=120.00
Space group R-3c (No. 167, hexagonal axes)
Inequivalent atoms, fractional coordinates:
Pm 0.0000 0.0000 0.1470
S 0.0000 0.2964 0.2500

Principal peaks in the range 15 to 90 degrees two-theta, in order of falling intensity:
| 2theta | d/Å | I (rel.) | hkl |
| --- | --- | --- | --- |
| 23.72 | 3.751 | 100 | 1 0 4 |
| 24.95 | 3.569 | 95 | 1 1 0 |
| 38.13 | 2.360 | 72 | 1 1 6 |
| 43.20 | 2.094 | 51 | 2 1 4 |
| 34.69 | 2.586 | 50 | 0 2 4 |
| 43.94 | 2.061 | 49 | 3 0 0 |
| 17.15 | 5.172 | 36 | 0 1 2 |
| 57.16 | 1.611 | 28 | 0 2 10 |
| 50.54 | 1.806 | 24 | 1 0 10 |
| 63.33 | 1.469 | 23 | 2 1 10 |

=====

The following is a simulated XRD peak list of Zr9In14Co7. It was derived from a DFT-relaxed cell (PBE, the Materials Project), using CuKα.
Lines closer than 0.1° are merged.

Cell and atoms:
Unit cell a=13.378 b=13.378 c=13.378 alpha=90.00 beta=90.00 gamma=90.00
Space group Fm-3m (No. 225)
Inequivalent atoms, fractional coordinates:
Zr 0.000 0.000 0.000
Zr 0.121 0.121 0.379
In 0.000 0.171 0.171
In 0.250 0.250 0.250
Co 0.000 0.000 0.280
Co 0.000 0.000 0.500

Principal peaks in the range 15 to 90 degrees two-theta, in order of falling intensity:
| 2theta | d/Å | I (rel.) | hkl |
| --- | --- | --- | --- |
| 34.85 | 2.575 | 100 | 3 3 3 |
| 39.86 | 2.261 | 43 | 5 3 1 |
| 38.05 | 2.365 | 35 | 4 4 0 |
| 58.54 | 1.577 | 30 | 6 6 0 |
| 32.79 | 2.731 | 29 | 4 2 2 |
| 40.45 | 2.230 | 26 | 6 0 0 |
| 68.75 | 1.365 | 24 | 8 4 4 |
| 44.94 | 2.017 | 18 | 6 2 2 |
| 29.87 | 2.992 | 13 | 4 2 0 |
| 63.33 | 1.468 | 12 | 9 1 1 |

=====

The following is a simulated XRD peak list of NaZnO3. It was derived from a DFT-relaxed cell (PBE, the Materials Project), using CuKα.
Lines closer than 0.1° are merged.

Cell and atoms:
Unit cell a=3.907 b=3.907 c=3.907 alpha=90.00 beta=90.00 gamma=90.00
Space group Pm-3m (No. 221)
Inequivalent atoms, fractional coordinates:
Na 0.000 0.000 0.000
Zn 0.500 0.500 0.500
O 0.000 0.500 0.500

Principal peaks in the range 15 to 90 degrees two-theta, in order of falling intensity:
| 2theta | d/Å | I (rel.) | hkl |
| --- | --- | --- | --- |
| 32.41 | 2.763 | 100 | 1 1 0 |
| 22.76 | 3.907 | 83 | 1 0 0 |
| 46.48 | 1.954 | 57 | 2 0 0 |
| 57.80 | 1.595 | 38 | 2 1 1 |
| 67.85 | 1.381 | 30 | 2 2 0 |
| 52.36 | 1.747 | 30 | 2 1 0 |
| 77.21 | 1.236 | 15 | 3 1 0 |
| 72.59 | 1.302 | 13 | 3 0 0 |
| 86.24 | 1.128 | 10 | 2 2 2 |

=====

The following is a simulated XRD peak list of HoP2H5O10. It was derived from a DFT-relaxed cell (PBE, the Materials Project), using CuKα.
Lines closer than 0.1° are merged.

Cell and atoms:
Unit cell a=6.423 b=6.898 c=10.295 alpha=80.29 beta=79.93 gamma=89.24
Space group P-1 (No. 2)
Inequivalent atoms, fractional coordinates:
Ho 0.130 0.243 0.038
P 0.301 0.733 0.070
P 0.452 0.367 0.713
H 0.176 0.086 0.322
H 0.266 0.952 0.790
H 0.274 0.746 0.742
H 0.333 0.272 0.288
H 0.498 0.314 0.502
O 0.024 0.413 0.512
O 0.159 0.565 0.051
O 0.160 0.915 0.057
O 0.179 0.840 0.786
O 0.213 0.209 0.261
O 0.260 0.292 0.815
O 0.337 0.692 0.224
O 0.464 0.588 0.659
O 0.476 0.241 0.597
O 0.487 0.247 0.022

Principal peaks in the range 15 to 90 degrees two-theta, in order of falling intensity:
| 2theta | d/Å | I (rel.) | hkl |
| --- | --- | --- | --- |
| 26.22 | 3.398 | 100 | 0 2 1 |
| 24.57 | 3.623 | 45 | 1 0 -2 |
| 17.87 | 4.965 | 45 | 1 0 -1 |
| 17.76 | 4.995 | 33 | 0 0 2 |
| 19.23 | 4.616 | 30 | 1 1 1 |
| 20.89 | 4.252 | 28 | 1 -1 1 |
| 32.46 | 2.759 | 27 | 2 1 2 |
| 19.01 | 4.669 | 27 | 1 -1 0 |
| 29.15 | 3.064 | 26 | 0 2 2 |
| 41.09 | 2.197 | 23 | 1 0 -4 |

=====

The following is a simulated XRD peak list of Ba2GaBiSe5. It was derived from a DFT-relaxed cell (PBE, the Materials Project), using CuKα.
Lines closer than 0.1° are merged.

Cell and atoms:
Unit cell a=12.841 b=9.290 c=9.451 alpha=90.00 beta=90.00 gamma=90.00
Space group Pnma (No. 62)
Inequivalent atoms, fractional coordinates:
Ba 0.175 0.008 0.119
Ga 0.097 0.750 0.832
Bi 0.022 0.750 0.471
Se 0.009 0.250 0.962
Se 0.059 0.542 0.678
Se 0.219 0.250 0.390
Se 0.222 0.750 0.376

Principal peaks in the range 15 to 90 degrees two-theta, in order of falling intensity:
| 2theta | d/Å | I (rel.) | hkl |
| --- | --- | --- | --- |
| 27.81 | 3.208 | 100 | 1 2 2 |
| 29.39 | 3.039 | 37 | 4 0 1 |
| 30.36 | 2.944 | 32 | 2 2 2 |
| 38.77 | 2.323 | 31 | 0 4 0 |
| 22.81 | 3.899 | 25 | 3 0 1 |
| 41.29 | 2.186 | 22 | 5 2 1 |
| 26.91 | 3.313 | 21 | 0 2 2 |
| 40.51 | 2.227 | 19 | 3 2 3 |
| 57.45 | 1.604 | 18 | 2 4 4 |
| 33.94 | 2.641 | 18 | 4 2 0 |